1.
Starting from DFT lattice parameters and positions (PBE), the powder X-ray diffraction pattern of Sc2Ir2Pd was computed for a wavelength of 1.5418 Å.
Intensities are scaled so that the largest is 100.

Largest 8 diffraction maxima, low angle first, 10° ≤ 2θ ≤ 90°:
2θ = 24.0°, I 54
2θ = 28.8°, I 39
2θ = 37.8°, I 100
2θ = 41.2°, I 41
2θ = 48.2°, I 32
2θ = 49.1°, I 17
2θ = 53.7°, I 16
2θ = 65.9°, I 20

Atomic structure:
a = 6.935 Å, b = 6.935 Å, c = 3.712 Å
α = 90.00°, β = 90.00°, γ = 90.00°
Fractional positions:
Sc 0.176 0.324 0.000
Sc 0.324 0.824 0.000
Sc 0.676 0.176 0.000
Sc 0.824 0.676 0.000
Ir 0.131 0.631 0.500
Ir 0.369 0.131 0.500
Ir 0.631 0.869 0.500
Ir 0.869 0.369 0.500
Pd 0.000 0.000 0.500
Pd 0.500 0.500 0.500



2.
Starting from DFT lattice parameters and positions (PBE), the powder X-ray diffraction pattern of NaGaAg was computed for a wavelength of 1.5418 Å.
Intensities are scaled so that the largest is 100.

Largest 8 diffraction maxima, low angle first, 10° ≤ 2θ ≤ 90°:
2θ = 16.5°, I 84
2θ = 19.0°, I 61
2θ = 27.3°, I 35
2θ = 35.7°, I 64
2θ = 38.5°, I 100
2θ = 39.9°, I 47
2θ = 40.2°, I 48
2θ = 46.4°, I 40

Atomic structure:
a = 8.190 Å, b = 5.696 Å, c = 5.386 Å
α = 90.00°, β = 90.44°, γ = 90.00°
Fractional positions:
Na 0.167 0.000 0.498
Na 0.333 0.500 0.502
Na 0.667 0.500 0.498
Na 0.833 0.000 0.502
Ga 0.001 0.500 0.747
Ga 0.499 0.000 0.253
Ga 0.501 0.000 0.747
Ga 0.999 0.500 0.253
Ag 0.250 0.250 0.000
Ag 0.250 0.750 0.000
Ag 0.750 0.250 0.000
Ag 0.750 0.750 0.000



3.
Starting from DFT lattice parameters and positions (PBE), the powder X-ray diffraction pattern of Ca6PtAu5 was computed for a wavelength of 1.5418 Å.
Intensities are scaled so that the largest is 100.

Largest 8 diffraction maxima, low angle first, 10° ≤ 2θ ≤ 90°:
2θ = 24.4°, I 25
2θ = 24.8°, I 49
2θ = 35.0°, I 100
2θ = 35.2°, I 25
2θ = 35.4°, I 24
2θ = 62.6°, I 18
2θ = 63.1°, I 18
2θ = 63.3°, I 18

Atomic structure:
a = 8.029 Å, b = 8.029 Å, c = 7.302 Å
α = 90.00°, β = 90.00°, γ = 143.00°
Fractional positions:
Ca 0.000 0.000 0.242
Ca 0.000 0.000 0.758
Ca 0.337 0.663 0.246
Ca 0.337 0.663 0.754
Ca 0.663 0.337 0.246
Ca 0.663 0.337 0.754
Pt 0.500 0.500 0.000
Au 0.168 0.832 0.500
Au 0.169 0.831 0.000
Au 0.500 0.500 0.500
Au 0.831 0.169 0.000
Au 0.832 0.168 0.500



4.
Starting from DFT lattice parameters and positions (PBE), the powder X-ray diffraction pattern of Cs3SbI8 was computed for a wavelength of 1.5418 Å.
Intensities are scaled so that the largest is 100.

Largest 8 diffraction maxima, low angle first, 10° ≤ 2θ ≤ 90°:
2θ = 17.7°, I 50
2θ = 28.9°, I 100
2θ = 29.3°, I 48
2θ = 34.4°, I 18
2θ = 41.9°, I 14
2θ = 45.8°, I 14
2θ = 51.0°, I 13
2θ = 51.7°, I 24

Atomic structure:
a = 10.750 Å, b = 10.750 Å, c = 10.750 Å
α = 132.74°, β = 132.74°, γ = 69.07°
Fractional positions:
Cs 0.000 0.000 0.000
Cs 0.250 0.750 0.500
Cs 0.750 0.250 0.500
Sb 0.500 0.500 0.000
I 0.175 0.175 0.567
I 0.175 0.608 0.000
I 0.392 0.392 0.567
I 0.392 0.825 0.000
I 0.608 0.175 0.000
I 0.608 0.608 0.433
I 0.825 0.392 0.000
I 0.825 0.825 0.433



5.
Starting from DFT lattice parameters and positions (PBE), the powder X-ray diffraction pattern of ZnAg3Br4 was computed for a wavelength of 1.5418 Å.
Intensities are scaled so that the largest is 100.

Largest 8 diffraction maxima, low angle first, 10° ≤ 2θ ≤ 90°:
2θ = 24.5°, I 100
2θ = 40.4°, I 25
2θ = 40.5°, I 50
2θ = 47.8°, I 31
2θ = 48.1°, I 15
2θ = 58.5°, I 8
2θ = 64.5°, I 12
2θ = 73.6°, I 16

Atomic structure:
a = 6.315 Å, b = 6.315 Å, c = 12.539 Å
α = 90.00°, β = 90.00°, γ = 90.00°
Fractional positions:
Zn 0.000 0.000 0.000
Zn 0.500 0.500 0.500
Ag 0.000 0.000 0.500
Ag 0.000 0.500 0.250
Ag 0.000 0.500 0.750
Ag 0.500 0.000 0.250
Ag 0.500 0.000 0.750
Ag 0.500 0.500 0.000
Br 0.240 0.240 0.880
Br 0.240 0.760 0.120
Br 0.260 0.260 0.380
Br 0.260 0.740 0.620
Br 0.740 0.260 0.620
Br 0.740 0.740 0.380
Br 0.760 0.240 0.120
Br 0.760 0.760 0.880



6.
Starting from DFT lattice parameters and positions (PBE), the powder X-ray diffraction pattern of Ga2Sn14Au9 was computed for a wavelength of 1.5418 Å.
Intensities are scaled so that the largest is 100.

Largest 8 diffraction maxima, low angle first, 10° ≤ 2θ ≤ 90°:
2θ = 23.1°, I 28
2θ = 23.3°, I 90
2θ = 38.3°, I 100
2θ = 38.6°, I 94
2θ = 45.4°, I 26
2θ = 55.5°, I 31
2θ = 69.0°, I 19
2θ = 69.6°, I 28

Atomic structure:
a = 8.081 Å, b = 8.081 Å, c = 11.568 Å
α = 90.00°, β = 90.00°, γ = 120.00°
Fractional positions:
Ga 0.333 0.667 0.251
Ga 0.667 0.333 0.749
Sn 0.000 0.000 0.248
Sn 0.000 0.000 0.752
Sn 0.019 0.667 0.907
Sn 0.035 0.360 0.590
Sn 0.325 0.965 0.590
Sn 0.333 0.352 0.907
Sn 0.352 0.019 0.093
Sn 0.360 0.325 0.410
Sn 0.640 0.675 0.590
Sn 0.648 0.981 0.907
Sn 0.667 0.648 0.093
Sn 0.675 0.035 0.410
Sn 0.965 0.640 0.410
Sn 0.981 0.333 0.093
Au 0.000 0.000 0.000
Au 0.029 0.347 0.338
Au 0.318 0.971 0.338
Au 0.333 0.667 0.016
Au 0.347 0.318 0.662
Au 0.653 0.682 0.338
Au 0.667 0.333 0.984
Au 0.682 0.029 0.662
Au 0.971 0.653 0.662



7.
Starting from DFT lattice parameters and positions (PBE), the powder X-ray diffraction pattern of Ho2Tl3SbSe6 was computed for a wavelength of 1.5418 Å.
Intensities are scaled so that the largest is 100.

Largest 8 diffraction maxima, low angle first, 10° ≤ 2θ ≤ 90°:
2θ = 25.7°, I 20
2θ = 29.0°, I 100
2θ = 39.8°, I 37
2θ = 43.2°, I 36
2θ = 52.8°, I 19
2θ = 60.2°, I 11
2θ = 65.8°, I 14
2θ = 70.5°, I 16

Atomic structure:
a = 7.263 Å, b = 7.263 Å, c = 8.091 Å
α = 98.59°, β = 98.59°, γ = 120.02°
Fractional positions:
Ho 0.167 0.833 0.000
Ho 0.833 0.167 0.000
Tl 0.000 0.000 0.500
Tl 0.332 0.668 0.500
Tl 0.668 0.332 0.500
Sb 0.500 0.500 0.000
Se 0.096 0.432 0.796
Se 0.232 0.232 0.205
Se 0.432 0.096 0.796
Se 0.568 0.904 0.204
Se 0.768 0.768 0.795
Se 0.904 0.568 0.204



8.
Starting from DFT lattice parameters and positions (PBE), the powder X-ray diffraction pattern of U2Si5Ru2Rh was computed for a wavelength of 1.5418 Å.
Intensities are scaled so that the largest is 100.

Largest 8 diffraction maxima, low angle first, 10° ≤ 2θ ≤ 90°:
2θ = 23.5°, I 25
2θ = 23.8°, I 35
2θ = 30.4°, I 26
2θ = 31.7°, I 25
2θ = 34.8°, I 51
2θ = 35.5°, I 100
2θ = 36.2°, I 32
2θ = 44.4°, I 50

Atomic structure:
a = 8.133 Å, b = 8.133 Å, c = 5.654 Å
α = 109.36°, β = 109.36°, γ = 92.79°
Fractional positions:
U 0.091 0.367 0.233
U 0.367 0.091 0.733
U 0.633 0.909 0.267
U 0.909 0.633 0.767
Si 0.014 0.986 0.750
Si 0.233 0.437 0.832
Si 0.278 0.722 0.750
Si 0.295 0.705 0.250
Si 0.437 0.233 0.332
Si 0.563 0.767 0.668
Si 0.705 0.295 0.750
Si 0.722 0.278 0.250
Si 0.767 0.563 0.168
Si 0.986 0.014 0.250
Ru 0.043 0.755 0.365
Ru 0.245 0.957 0.135
Ru 0.755 0.043 0.865
Ru 0.957 0.245 0.635
Rh 0.499 0.501 0.750
Rh 0.501 0.499 0.250